Record 1
Starting from a structure optimized by DFT (PBE), the powder XRD pattern of Ga8Cu3W2 was computed for CuKα.
Peak positions follow from Bragg's law for the DFT cell and can differ from measured ones.

Top 6 peaks for 2θ = 5–70°, in order of falling intensity:
h k l  Position (°2θ)  I/Imax
4 4 0  42.61  100
2 2 0  20.93  50
5 3 0  43.99  18
2 1 1  18.10  18
4 3 1  38.23  16
5 2 1  41.19  15

Structure:
```
data_Ga8Cu3W2
_chemical_formula_sum 'Ga64 Cu24 W16'
_space_group_name_H-M_alt 'I -4 3 d'
_space_group_IT_number 220
_space_group_name_Hall 'I -4bd 2c 3'
_cell_length_a 12.0035
_cell_length_b 12.0035
_cell_length_c 12.0035
_cell_angle_alpha 90.00
_cell_angle_beta 90.00
_cell_angle_gamma 90.00
loop_
_atom_site_label
_atom_site_type_symbol
_atom_site_fract_x
_atom_site_fract_y
_atom_site_fract_z
Ga1 Ga 0.1045 0.3955 0.6045
Ga2 Ga 0.1108 0.3778 0.8791
Cu1 Cu 0.0000 0.2500 0.0196
W1 W 0.0214 0.0214 0.0214
```

=====

Record 2
Starting from a structure optimized by DFT (PBE), the powder XRD pattern of CsKInAu3 was computed for CuKα.
Peak positions follow from Bragg's law for the DFT cell and can differ from measured ones.

Top 6 peaks for 2θ = 5–70°, in order of falling intensity:
h k l  Position (°2θ)  I/Imax
1 0 1  18.25  100
1 2 1  31.49  89
0 2 2  32.26  83
0 0 1  9.72  80
1 1 2  28.07  65
0 1 1  15.97  56

Structure:
```
data_CsKInAu3
_chemical_formula_sum 'Cs2 K2 In2 Au6'
_space_group_name_H-M_alt 'P m m a'
_space_group_IT_number 51
_space_group_name_Hall '-P 2a 2a'
_cell_length_a 5.7504
_cell_length_b 7.0025
_cell_length_c 9.0994
_cell_angle_alpha 90.00
_cell_angle_beta 90.00
_cell_angle_gamma 90.00
loop_
_atom_site_label
_atom_site_type_symbol
_atom_site_fract_x
_atom_site_fract_y
_atom_site_fract_z
Cs1 Cs 0.2500 0.0000 0.1343
K1 K 0.2500 0.5000 0.3681
In1 In 0.2500 0.0000 0.5739
Au1 Au 0.0000 0.5000 0.0000
Au2 Au 0.2500 0.2968 0.7714
```

=====

Record 3
Starting from a structure optimized by DFT (PBE), the powder XRD pattern of DyCd was computed for CuKα.
Peak positions follow from Bragg's law for the DFT cell and can differ from measured ones.

Top 6 peaks for 2θ = 5–70°, in order of falling intensity:
h k l  Position (°2θ)  I/Imax
1 1 1  33.92  100
2 0 0  34.07  49
3 1 1  60.89  36
2 2 0  60.61  18
2 0 2  48.95  18
0 2 0  48.52  9

Structure:
```
data_DyCd
_chemical_formula_sum 'Dy2 Cd2'
_space_group_name_H-M_alt 'P m m a'
_space_group_IT_number 51
_space_group_name_Hall '-P 2a 2a'
_cell_length_a 5.2630
_cell_length_b 3.7529
_cell_length_c 5.2634
_cell_angle_alpha 90.00
_cell_angle_beta 90.00
_cell_angle_gamma 90.00
loop_
_atom_site_label
_atom_site_type_symbol
_atom_site_fract_x
_atom_site_fract_y
_atom_site_fract_z
Dy1 Dy 0.2500 0.0000 0.2492
Cd1 Cd 0.2500 0.5000 0.7487
```

=====

Record 4
Starting from a structure optimized by DFT (PBE), the powder XRD pattern of TmZrNO was computed for CuKα.
Peak positions follow from Bragg's law for the DFT cell and can differ from measured ones.

Top 6 peaks for 2θ = 5–70°, in order of falling intensity:
h k l  Position (°2θ)  I/Imax
2 1 1  32.95  100
2 1 0  26.58  32
0 2 1  33.73  31
0 0 2  38.78  31
0 2 0  27.53  29
2 3 0  48.10  28

Structure:
```
data_TmZrNO
_chemical_formula_sum 'Tm4 Zr4 N4 O4'
_space_group_name_H-M_alt 'P b c m'
_space_group_IT_number 57
_space_group_name_Hall '-P 2c 2b'
_cell_length_a 7.8367
_cell_length_b 6.4800
_cell_length_c 4.6437
_cell_angle_alpha 90.00
_cell_angle_beta 90.00
_cell_angle_gamma 90.00
loop_
_atom_site_label
_atom_site_type_symbol
_atom_site_fract_x
_atom_site_fract_y
_atom_site_fract_z
Tm1 Tm 0.1236 0.0576 0.2500
Zr1 Zr 0.3741 0.5925 0.2500
N1 N 0.3877 0.5705 0.7500
O1 O 0.1395 0.0987 0.7500
```

=====

Record 5
Starting from a structure optimized by DFT (PBE), the powder XRD pattern of Ba2MoP2 was computed for CuKα.
Peak positions follow from Bragg's law for the DFT cell and can differ from measured ones.

Top 6 peaks for 2θ = 5–70°, in order of falling intensity:
h k l  Position (°2θ)  I/Imax
2 2 -1  28.46  100
1 0 2  29.08  57
0 3 1  29.72  45
1 2 -3  40.30  39
1 0 -2  24.09  34
0 2 1  21.69  26

Structure:
```
data_Ba2MoP2
_chemical_formula_sum 'Ba8 Mo4 P8'
_space_group_name_H-M_alt 'P 1 21/c 1'
_space_group_IT_number 14
_space_group_name_Hall '-P 2ybc'
_cell_length_a 8.5378
_cell_length_b 9.8977
_cell_length_c 7.5360
_cell_angle_alpha 90.00
_cell_angle_beta 104.32
_cell_angle_gamma 90.00
loop_
_atom_site_label
_atom_site_type_symbol
_atom_site_fract_x
_atom_site_fract_y
_atom_site_fract_z
Ba1 Ba 0.0251 0.1441 0.2653
Ba2 Ba 0.4494 0.6639 0.0653
Mo1 Mo 0.3654 0.0311 0.9805
P1 P 0.2264 0.6034 0.6460
P2 P 0.2585 0.1014 0.6762
```

=====

Record 6
Starting from a structure optimized by DFT (PBE), the powder XRD pattern of BaHgSeO was computed for CuKα.
Peak positions follow from Bragg's law for the DFT cell and can differ from measured ones.

Top 6 peaks for 2θ = 5–70°, in order of falling intensity:
h k l  Position (°2θ)  I/Imax
1 3 1  33.03  100
0 0 2  27.33  97
2 0 0  26.99  89
1 2 1  26.17  83
2 0 2  38.79  67
0 1 0  8.82  47

Structure:
```
data_BaHgSeO
_chemical_formula_sum 'Ba4 Hg4 Se4 O4'
_space_group_name_H-M_alt 'P c a 21'
_space_group_IT_number 29
_space_group_name_Hall 'P 2c -2ac'
_cell_length_a 6.6061
_cell_length_b 10.0212
_cell_length_c 6.5275
_cell_angle_alpha 90.00
_cell_angle_beta 90.00
_cell_angle_gamma 90.00
loop_
_atom_site_label
_atom_site_type_symbol
_atom_site_fract_x
_atom_site_fract_y
_atom_site_fract_z
Ba1 Ba 0.0013 0.1912 0.0000
Hg1 Hg 0.0418 0.4061 0.4870
Se1 Se 0.0033 0.8531 0.0001
O1 O 0.1041 0.4201 0.1096
```

=====

Record 7
Starting from a structure optimized by DFT (PBE), the powder XRD pattern of ZrBi2 was computed for CuKα.
Peak positions follow from Bragg's law for the DFT cell and can differ from measured ones.

Top 6 peaks for 2θ = 5–70°, in order of falling intensity:
h k l  Position (°2θ)  I/Imax
1 4 1  33.11  100
2 1 1  28.70  60
3 2 1  36.23  57
2 2 1  30.40  54
0 5 1  36.43  50
3 4 0  34.78  49

Structure:
```
data_ZrBi2
_chemical_formula_sum 'Zr8 Bi16'
_space_group_name_H-M_alt 'P n n m'
_space_group_IT_number 58
_space_group_name_Hall '-P 2 2n'
_cell_length_a 10.3183
_cell_length_b 15.6052
_cell_length_c 4.0261
_cell_angle_alpha 90.00
_cell_angle_beta 90.00
_cell_angle_gamma 90.00
loop_
_atom_site_label
_atom_site_type_symbol
_atom_site_fract_x
_atom_site_fract_y
_atom_site_fract_z
Zr1 Zr 0.0233 0.2487 0.0000
Zr2 Zr 0.1634 0.5060 0.0000
Bi1 Bi 0.0132 0.3940 0.5000
Bi2 Bi 0.1225 0.0570 0.0000
Bi3 Bi 0.1536 0.8501 0.5000
Bi4 Bi 0.2354 0.2001 0.5000
```

=====

Record 8
Starting from a structure optimized by DFT (PBE), the powder XRD pattern of NaAuSeO was computed for CuKα.
Peak positions follow from Bragg's law for the DFT cell and can differ from measured ones.

Top 6 peaks for 2θ = 5–70°, in order of falling intensity:
h k l  Position (°2θ)  I/Imax
1 1 0  20.97  100
0 1 1  16.66  69
1 2 -1  32.62  66
2 0 0  32.05  63
1 1 -1  22.07  39
2 1 -1  34.97  30

Structure:
```
data_NaAuSeO
_chemical_formula_sum 'Na4 Au4 Se4 O4'
_space_group_name_H-M_alt 'P 1 21/c 1'
_space_group_IT_number 14
_space_group_name_Hall '-P 2ybc'
_cell_length_a 5.6507
_cell_length_b 6.4973
_cell_length_c 9.3753
_cell_angle_alpha 90.00
_cell_angle_beta 98.51
_cell_angle_gamma 90.00
loop_
_atom_site_label
_atom_site_type_symbol
_atom_site_fract_x
_atom_site_fract_y
_atom_site_fract_z
Na1 Na 0.2169 0.1703 0.0018
Au1 Au 0.2284 0.6125 0.8632
Se1 Se 0.3532 0.6625 0.1144
O1 O 0.1432 0.6121 0.6399
```